Structure and calculated powder diffractogram of CaAl2Si3O10 (a PBE-relaxed structure; Cu Kα, 1.54184 Å).
Kinematic intensities with the Lorentz-polarization factor, no thermal factor.

Crystal structure
Unit cell a=8.0594 b=9.6833 c=9.7628 alpha=104.13 beta=100.19 gamma=98.74
Space group P1 (No. 1)
One atom of each set of equivalent atoms:
Ca: 0.0000 0.0000 0.0000 (multiplicity 1)
Ca: 0.4969 0.9031 0.0858 (multiplicity 1)
Al: 0.1595 0.4426 0.2595 (multiplicity 1)
Al: 0.2576 0.0298 0.3524 (multiplicity 1)
Al: 0.6676 0.1664 0.5347 (multiplicity 1)
Al: 0.7508 0.2600 0.1264 (multiplicity 1)
Si: 0.2724 0.7420 0.3408 (multiplicity 1)
Si: 0.3224 0.6227 0.1114 (multiplicity 1)
Si: 0.4140 0.2248 0.2631 (multiplicity 1)
Si: 0.7689 0.2418 0.8361 (multiplicity 1)
Si: 0.8279 0.0133 0.7181 (multiplicity 1)
Si: 0.9169 0.1710 0.3199 (multiplicity 1)
O: 0.0663 0.0870 0.3574 (multiplicity 1)
O: 0.1528 0.6112 0.3751 (multiplicity 1)
O: 0.2021 0.7563 0.1667 (multiplicity 1)
O: 0.2029 0.4653 0.0921 (multiplicity 1)
O: 0.2852 0.0582 0.1674 (multiplicity 1)
O: 0.2964 0.9037 0.4451 (multiplicity 1)
O: 0.3080 0.3439 0.3164 (multiplicity 1)
O: 0.4285 0.6728 0.0028 (multiplicity 1)
O: 0.4421 0.6807 0.2877 (multiplicity 1)
O: 0.4679 0.1576 0.4075 (multiplicity 1)
O: 0.5584 0.2629 0.1783 (multiplicity 1)
O: 0.6578 0.2808 0.7018 (multiplicity 1)
O: 0.6980 0.0653 0.8419 (multiplicity 1)
O: 0.7179 0.9988 0.5575 (multiplicity 1)
O: 0.7832 0.3452 0.9957 (multiplicity 1)
O: 0.7851 0.0751 0.1535 (multiplicity 1)
O: 0.8134 0.2251 0.4390 (multiplicity 1)
O: 0.9351 0.9036 0.7714 (multiplicity 1)
O: 0.9462 0.1901 0.7882 (multiplicity 1)
O: 0.9628 0.3169 0.2534 (multiplicity 1)

Largest 10 diffraction maxima, low angle first, 2θ from 10° to 90°:
2θ (°)	I/Imax
13.16	100
13.34	98
16.12	17
16.38	81
16.48	64
19.27	14
25.56	16
25.88	17
31.35	16
31.73	22